For Pm5In2Sn2, a cell relaxed with PBE gives the computed PXRD pattern in this record (Cu Kα (λ = 1.5418 Å)).
Lines closer than 0.1° are merged.

Crystal structure
```
Pm5In2Sn2
1.0
-8.865 4.860 3.170
8.865 -4.860 3.170
8.865 4.860 -3.170
Pm In Sn
10 4 4
Direct
0.096 0.390 0.014 Pm
0.096 0.582 0.206 Pm
0.230 0.075 0.304 Pm
0.230 0.425 0.655 Pm
0.376 0.082 0.986 Pm
0.376 0.890 0.794 Pm
0.719 0.484 0.735 Pm
0.749 0.984 0.265 Pm
0.770 0.575 0.345 Pm
0.770 0.925 0.696 Pm
0.083 0.987 0.596 In
0.299 0.299 0.000 In
0.299 0.799 0.500 In
0.392 0.487 0.404 In
0.664 0.156 0.356 Sn
0.664 0.808 0.008 Sn
0.800 0.308 0.644 Sn
0.800 0.656 0.992 Sn
```

Top 12 peaks for 2θ from 10° to 90°, low angle first:
26.76°, d = 3.331 Å, rel. 67; 28.15°, d = 3.170 Å, rel. 45; 30.07°, d = 2.971 Å, rel. 28; 30.99°, d = 2.885 Å, rel. 52; 31.49°, d = 2.841 Å, rel. 70; 32.64°, d = 2.744 Å, rel. 63; 33.37°, d = 2.685 Å, rel. 100; 33.76°, d = 2.655 Å, rel. 54; 34.35°, d = 2.611 Å, rel. 77; 34.74°, d = 2.582 Å, rel. 100; 42.69°, d = 2.118 Å, rel. 40; 45.95°, d = 1.975 Å, rel. 33